Record 1
Calculated PXRD pattern of LaSm5Y2Th for CuKα, from a structure optimized by DFT (GGA-PBE).
Lines closer than 0.1° are merged.

Principal peaks in the range 2θ = 10–90°, in order of rising 2θ:
27.84 deg, I 25; 29.99 deg, I 48; 31.27 deg, I 42; 31.94 deg, I 100; 42.35 deg, I 16; 56.07 deg, I 21

abc: 5.7217 20.1661 10.6331
angles: 90.00 90.00 90.00
Space group Cmc2_1 (No. 36)
Unique sites:
La (0.0000, 0.0852, 0.0000)
Sm (0.0000, 0.0218, 0.2915)
Sm (0.0000, 0.1122, 0.5792)
Sm (0.0000, 0.2070, 0.2563)
Sm (0.0000, 0.2214, 0.8674)
Sm (0.0000, 0.4830, 0.5782)
Y (0.0000, 0.3849, 0.8723)
Y (0.0000, 0.3877, 0.2869)
Th (0.0000, 0.2982, 0.5653)

Record 2
Calculated PXRD pattern of Li3CaCd for CuKα, from a structure optimized by DFT (GGA-PBE).
Lines closer than 0.1° are merged.

Principal peaks in the range 2θ = 10–90°, in order of rising 2θ:
13.43 deg, I 100; 21.57 deg, I 56; 28.92 deg, I 66; 29.12 deg, I 46; 32.19 deg, I 57; 40.01 deg, I 43

abc: 4.3368 4.3368 13.1867
angles: 90.00 90.00 90.00
Space group I4mm (No. 107)
Unique sites:
Li (0.0000, 0.0000, 0.0000)
Li (0.0000, 0.5000, 0.1491)
Ca (0.0000, 0.0000, 0.3850)
Cd (0.0000, 0.0000, 0.7900)

Record 3
Calculated PXRD pattern of Nd5Sm4Er2 for CuKα, from a structure optimized by DFT (GGA-PBE).
Lines closer than 0.1° are merged.

Principal peaks in the range 2θ = 10–90°, in order of rising 2θ:
30.05 deg, I 74; 30.17 deg, I 100; 30.36 deg, I 97; 31.92 deg, I 86; 36.40 deg, I 42; 55.70 deg, I 33

abc: 3.5072 8.8992 12.2566
angles: 96.99 98.19 90.01
Space group P-1 (No. 2)
Unique sites:
Nd (0.0000, 0.0000, 0.0000)
Nd (0.2694, 0.1791, 0.5391)
Nd (0.3603, 0.8845, 0.7206)
Sm (0.1759, 0.4714, 0.3520)
Sm (0.4550, 0.6383, 0.9100)
Er (0.4084, 0.2675, 0.8174)

Record 4
Calculated PXRD pattern of Mg15Co for CuKα, from a structure optimized by DFT (GGA-PBE).
Lines closer than 0.1° are merged.

Principal peaks in the range 2θ = 10–90°, in order of rising 2θ:
33.11 deg, I 25; 35.27 deg, I 26; 37.66 deg, I 100; 59.15 deg, I 17; 64.88 deg, I 17; 70.78 deg, I 18

abc: 6.2476 6.2476 10.1781
angles: 90.00 90.00 120.00
Space group P-6m2 (No. 187)
Unique sites:
Mg (0.0000, 0.0000, 0.0000)
Mg (0.0037, 0.5018, 0.0000)
Mg (0.1610, 0.3221, 0.2657)
Mg (0.5025, 0.0051, 0.5000)
Mg (0.6667, 0.3333, 0.2457)
Co (0.0000, 0.0000, 0.5000)